Diffraction record for CaSbF5. The PXRD pattern is theoretical, not measured: it uses the PBE geometry in the Materials Project and Cu Ka.
Lines closer than 0.1° are merged.

Largest 6 diffraction maxima, sorted by position, 10 to 90 degrees two-theta:
2θ 16.15, rel. 52; 2θ 20.35, rel. 90; 2θ 24.90, rel. 100; 2θ 25.23, rel. 45; 2θ 44.25, rel. 37; 2θ 49.13, rel. 41

Crystal structure
Cell lengths 5.984, 5.984, 8.294 Å; angles 110.26, 110.26, 72.31 degrees
Fractional positions:
Ca1 0.030 0.970 0.500
Ca2 0.970 0.030 0.000
Sb1 0.498 0.504 0.748
Sb2 0.504 0.498 0.248
F1 0.176 0.809 0.787
F2 0.200 0.819 0.209
F3 0.234 0.276 0.119
F4 0.276 0.234 0.619
F5 0.367 0.631 0.504
F6 0.631 0.367 0.004
F7 0.724 0.767 0.873
F8 0.767 0.724 0.373
F9 0.809 0.176 0.287
F10 0.819 0.200 0.709